Starting from a crystal structure in Alexandria, relaxed with GGA-PBE, the X-ray powder pattern of YAlTe3 was computed for CuKα.

Crystal structure
Unit cell a=4.292 b=25.354 c=7.169 alpha=90.00 beta=90.00 gamma=90.00
Space group Ama2 (No. 40)
Inequivalent atoms, fractional coordinates:
Y 0.250 0.173 0.000 [4 per cell]
Al 0.250 0.372 0.919 [4 per cell]
Te 0.250 0.078 0.277 [4 per cell]
Te 0.250 0.276 0.760 [4 per cell]
Te 0.250 0.384 0.280 [4 per cell]

The 10 most intense peaks (15 to 90 degrees two-theta), sorted by position:
(0 0 2), 3.585 Å, 2θ 24.84, I 22; (1 3 1), 3.376 Å, 2θ 26.40, I 100; (0 7 1), 3.233 Å, 2θ 27.59, I 31; (0 6 2), 2.734 Å, 2θ 32.76, I 27; (1 4 2), 2.524 Å, 2θ 35.57, I 26; (1 10 0), 2.183 Å, 2θ 41.36, I 31; (2 0 0), 2.146 Å, 2θ 42.11, I 16; (1 3 3), 2.027 Å, 2θ 44.71, I 27; (2 6 2), 1.688 Å, 2θ 54.35, I 13; (1 10 4), 1.385 Å, 2θ 67.66, I 17